Calculated X-ray powder pattern
Compound: PmDy8Er3
Radiation: Cu Kα
Structure: a crystal structure in Alexandria, relaxed with PBE
Kinematic intensities with the Lorentz-polarization factor, no thermal factor.

Structure:
```
data_PmDy8Er3
_chemical_formula_sum 'Pm2 Dy16 Er6'
_cell_length_a 8.6410
_cell_length_b 8.6410
_cell_length_c 11.3271
_cell_angle_alpha 90.00
_cell_angle_beta 90.00
_cell_angle_gamma 90.00
_symmetry_space_group_name_H-M 'I -4 2 m'
_symmetry_Int_Tables_number 121
_symmetry_space_group_name_Hall 'I -4 2'
loop_
_atom_site_label
_atom_site_type_symbol
_atom_site_fract_x
_atom_site_fract_y
_atom_site_fract_z
_atom_site_occupancy
Pm1 Pm 0.0000 0.0000 0.0000 1
Dy1 Dy 0.1263 0.1263 0.2537 1
Dy2 Dy 0.2456 0.2456 0.5088 1
Er1 Er 0.0000 0.0000 0.5000 1
Er2 Er 0.0000 0.5000 0.2500 1
```

Most intense lines, 2θ from 15° to 90°, in order of rising 2θ:
24.3°, 3.657 Å, I = 626, hkl 2 1 1
25.9°, 3.435 Å, I = 536, hkl 2 0 2
29.2°, 3.055 Å, I = 786, hkl 2 2 0
31.6°, 2.832 Å, I = 710, hkl 0 0 4
33.2°, 2.701 Å, I = 292, hkl 2 1 3
36.5°, 2.461 Å, I = 1000, hkl 3 1 2
43.6°, 2.077 Å, I = 522, hkl 2 2 4
44.9°, 2.018 Å, I = 468, hkl 4 0 2
56.7°, 1.624 Å, I = 273, hkl 5 1 2
70.0°, 1.344 Å, I = 288, hkl 4 4 4